This entry pairs a crystal structure of TaCr3Ag2S8 with its simulated PXRD pattern. Radiation: λ = 1.5418 Å (Cu Kα). Structure: a structure optimized by DFT (PBE).
Intensities are scaled so that the largest is 100.

Structural model:
abc: 6.0403 6.9444 14.4914
angles: 80.71 85.33 89.40
Space group P1 (No. 1)
Symmetry-distinct sites (fractional):
Ta 0.0000 0.0000 0.0000 (multiplicity 1)
Ta 0.1001 0.1783 0.4894 (multiplicity 1)
Cr 0.0513 0.6464 0.4857 (multiplicity 1)
Cr 0.4453 0.7343 0.9997 (multiplicity 1)
Cr 0.4569 0.2238 0.9967 (multiplicity 1)
Cr 0.5464 0.9036 0.4875 (multiplicity 1)
Cr 0.5539 0.3990 0.4895 (multiplicity 1)
Cr 0.9530 0.4722 0.9972 (multiplicity 1)
Ag 0.3365 0.5818 0.7433 (multiplicity 1)
Ag 0.5579 0.8934 0.2608 (multiplicity 1)
Ag 0.6607 0.3278 0.2445 (multiplicity 1)
Ag 0.8344 0.7893 0.7425 (multiplicity 1)
S 0.0990 0.6913 0.0931 (multiplicity 1)
S 0.1156 0.2032 0.1014 (multiplicity 1)
S 0.2343 0.9300 0.3920 (multiplicity 1)
S 0.2549 0.4439 0.3840 (multiplicity 1)
S 0.3049 0.5110 0.9096 (multiplicity 1)
S 0.3221 0.0147 0.8948 (multiplicity 1)
S 0.3655 0.6247 0.5768 (multiplicity 1)
S 0.3813 0.1198 0.5927 (multiplicity 1)
S 0.5998 0.4473 0.0851 (multiplicity 1)
S 0.6095 0.9478 0.0901 (multiplicity 1)
S 0.7308 0.6786 0.3973 (multiplicity 1)
S 0.7431 0.1811 0.3987 (multiplicity 1)
S 0.8034 0.2581 0.9026 (multiplicity 1)
S 0.8029 0.7562 0.9098 (multiplicity 1)
S 0.8654 0.3725 0.5829 (multiplicity 1)
S 0.8713 0.8711 0.5749 (multiplicity 1)

Largest 10 diffraction maxima, sorted by position, 2θ from 10° to 90°:
2θ/deg, d_spacing, I (rel.), h k l
12.42, 7.127, 100, 0 0 2
15.22, 5.821, 31, 0 1 -1
18.51, 4.794, 37, 1 0 2
24.99, 3.563, 54, 0 0 4
30.02, 2.977, 41, 1 2 0
30.85, 2.898, 39, 2 0 -1
31.28, 2.860, 53, 1 -2 1
32.49, 2.756, 42, 1 2 3
33.88, 2.646, 29, -1 2 3
52.80, 1.734, 35, 3 -2 0

---

This entry pairs a crystal structure of TiCrAgS4 with its simulated PXRD pattern. Radiation: λ = 1.5418 Å (Cu Kα). Structure: a structure optimized by DFT (PBE).
Intensities are scaled so that the largest is 100.

Structural model:
abc: 6.9199 13.2867 5.9318
angles: 90.00 90.00 90.00
Space group Pmmn (No. 59, origin choice 2)
Symmetry-distinct sites (fractional):
Ti 0.0000 0.0000 0.0000 (multiplicity 4)
Cr 0.2500 0.0010 0.5001 (multiplicity 4)
Ag 0.2500 0.2500 0.1575 (multiplicity 2)
Ag 0.2500 0.7500 0.4746 (multiplicity 2)
S 0.0029 0.1048 0.3384 (multiplicity 8)
S 0.2500 0.1045 0.8322 (multiplicity 4)
S 0.2500 0.6046 0.1677 (multiplicity 4)

Largest 10 diffraction maxima, sorted by position, 2θ from 10° to 90°:
2θ/deg, d_spacing, I (rel.), h k l
20.83, 4.265, 100, 1 1 1
23.87, 3.728, 31, 1 2 1
28.26, 3.158, 50, 1 3 1
29.10, 3.069, 33, 2 2 0
33.55, 2.671, 36, 1 1 2
36.26, 2.477, 66, 2 3 1
36.46, 2.464, 49, 0 3 2
40.61, 2.222, 90, 2 4 1
40.78, 2.213, 46, 0 4 2
53.36, 1.717, 61, 2 0 3

---

This entry pairs a crystal structure of TiCrAgS4 with its simulated PXRD pattern. Radiation: λ = 1.5418 Å (Cu Kα). Structure: a structure optimized by DFT (PBE).
Intensities are scaled so that the largest is 100.

Structural model:
abc: 5.9654 6.9057 6.5401
angles: 90.00 93.46 90.00
Space group P2 (No. 3)
Symmetry-distinct sites (fractional):
Ti 0.0000 0.0000 0.0000 (multiplicity 1)
Ti 0.5000 0.2841 0.0000 (multiplicity 1)
Cr 0.0000 0.5114 0.0000 (multiplicity 1)
Cr 0.5000 0.7702 0.0000 (multiplicity 1)
Ag 0.5000 0.2842 0.5000 (multiplicity 1)
Ag 0.5000 0.7824 0.5000 (multiplicity 1)
S 0.1752 0.2653 0.2105 (multiplicity 2)
S 0.1821 0.7591 0.2101 (multiplicity 2)
S 0.3130 0.5228 0.7861 (multiplicity 2)
S 0.3214 0.0154 0.7861 (multiplicity 2)

Largest 10 diffraction maxima, sorted by position, 2θ from 10° to 90°:
2θ/deg, d_spacing, I (rel.), h k l
14.88, 5.955, 81, 1 0 0
19.56, 4.538, 45, 1 0 -1
20.79, 4.273, 40, 1 0 1
29.26, 3.052, 31, 0 2 1
29.91, 2.987, 60, 1 2 0
32.59, 2.748, 39, 1 2 -1
39.73, 2.269, 62, 2 0 -2
40.31, 2.238, 46, 1 2 -2
41.59, 2.171, 100, 1 2 2
53.23, 1.721, 50, 3 2 0

---

This entry pairs a crystal structure of TiCrAgS4 with its simulated PXRD pattern. Radiation: λ = 1.5418 Å (Cu Kα). Structure: a structure optimized by DFT (PBE).
Intensities are scaled so that the largest is 100.

Structural model:
abc: 5.9554 3.4785 12.7682
angles: 90.00 91.11 90.00
Space group P2/m (No. 10)
Symmetry-distinct sites (fractional):
Ti 0.0322 0.0000 0.2490 (multiplicity 2)
Cr 0.4847 0.5000 0.2522 (multiplicity 2)
Ag 0.0000 0.0000 0.5000 (multiplicity 1)
Ag 0.5000 0.5000 0.0000 (multiplicity 1)
S 0.1614 0.5000 0.1348 (multiplicity 2)
S 0.1685 0.5000 0.6481 (multiplicity 2)
S 0.3422 0.0000 0.8487 (multiplicity 2)
S 0.3445 0.0000 0.3642 (multiplicity 2)

Largest 10 diffraction maxima, sorted by position, 2θ from 10° to 90°:
2θ/deg, d_spacing, I (rel.), h k l
16.30, 5.437, 40, 1 0 -1
16.55, 5.356, 58, 1 0 1
26.56, 3.356, 36, 0 1 1
29.75, 3.004, 40, 1 1 0
33.09, 2.707, 28, 1 1 2
33.27, 2.693, 23, 0 1 3
41.06, 2.198, 100, 1 1 -4
41.49, 2.177, 41, 1 1 4
41.90, 2.156, 36, 2 0 4
53.13, 1.724, 39, 3 1 0